For BaYMnCoO5, a crystal structure in Alexandria, relaxed with PBE+U gives the simulated powder diffractogram in this record (Cu Kα X-rays).
Kinematic intensities with the Lorentz-polarization factor, no thermal factor.

The 6 most intense peaks (2θ = 10–90°), in order of rising 2θ:
| 2theta | d (Å) | I_rel | (hkl) |
| --- | --- | --- | --- |
| 32.25 | 2.776 | 41 | 2 0 0 |
| 32.39 | 2.764 | 100 | 1 1 2 |
| 39.89 | 2.260 | 15 | 2 0 2 |
| 46.25 | 1.963 | 30 | 2 2 0 |
| 57.60 | 1.600 | 37 | 3 1 2 |
| 57.87 | 1.594 | 21 | 2 0 4 |

Structure:
```
data_BaYMnCoO5
_cell_length_a 5.552
_cell_length_b 5.552
_cell_length_c 7.785
_cell_angle_alpha 90.00
_cell_angle_beta 90.00
_cell_angle_gamma 90.00
_symmetry_space_group_name_H-M 'P 4/n m m'
_symmetry_Int_Tables_number 129
loop_
_symmetry_equiv_pos_as_xyz
'x,y,z'
'-x,-y,-z'
'-y+1/2,x,z'
'y+1/2,-x,-z'
'-x+1/2,-y+1/2,z'
'x+1/2,y+1/2,-z'
'y,-x+1/2,z'
'-y,x+1/2,-z'
'x+1/2,-y,-z'
'-x+1/2,y,z'
'-y,-x,-z'
'y,x,z'
'-x,y+1/2,-z'
'x,-y+1/2,z'
'y+1/2,x+1/2,-z'
'-y+1/2,-x+1/2,z'
loop_
_atom_site_label
_atom_site_fract_x
_atom_site_fract_y
_atom_site_fract_z
_atom_site_occupancy
Ba1 0.250 0.750 0.000 1
Y1 0.250 0.750 0.500 1
Mn1 0.250 0.250 0.268 1
Co1 0.250 0.250 0.735 1
O1 0.004 0.004 0.317 1
O2 0.250 0.250 0.004 1
```